Entry 1:
HfMoO4: simulated powder diffractogram (Cu Ka), based on a DFT-relaxed cell (PBE+U, Alexandria).
Intensities are scaled so that the largest is 100.

Peak list (10 most intense, 2θ from 5° to 70°, sorted by position)
(1 1 0), 4.812 Å, I 19
(0 2 0), 3.422 Å, I 60
(2 0 0), 3.384 Å, I 58
(1 1 1), 2.686 Å, I 100
(2 2 0), 2.406 Å, I 29
(2 0 1), 2.339 Å, I 10
(1 3 1), 1.798 Å, I 40
(3 1 1), 1.787 Å, I 39
(0 4 0), 1.711 Å, I 10
(3 3 1), 1.437 Å, I 23

Crystal structure
Lattice parameters (Å, degrees): 6.768 6.843 3.238 90.00 90.00 90.00
Space group Cmmm (No. 65)
Unique sites:
Hf1 0.000 0.000 0.000 (multiplicity 2)
Mo1 0.000 0.500 0.500 (multiplicity 2)
O1 0.000 0.304 0.000 (multiplicity 4)
O2 0.197 0.000 0.500 (multiplicity 4)

Entry 2:
HfSbMoO6: simulated powder diffractogram (Cu Ka), based on a DFT-relaxed cell (PBE+U, Alexandria).
Intensities are scaled so that the largest is 100.

Peak list (10 most intense, 2θ from 5° to 70°, sorted by position)
(0 0 2), 4.567 Å, I 27
(1 0 2), 3.252 Å, I 100
(1 1 0), 2.675 Å, I 58
(1 1 2), 2.308 Å, I 29
(0 0 4), 2.283 Å, I 9
(2 0 2), 2.066 Å, I 28
(1 1 4), 1.737 Å, I 50
(2 1 2), 1.635 Å, I 26
(3 0 0), 1.544 Å, I 20
(1 0 6), 1.446 Å, I 9

Crystal structure
Lattice parameters (Å, degrees): 5.3494 5.3494 9.1335 90.00 90.00 120.00
Space group P-31c (No. 163)
Unique sites:
Hf1 0.3333 0.6667 0.2500 (multiplicity 2)
Sb1 0.3333 0.6667 0.7500 (multiplicity 2)
Mo1 0.0000 0.0000 0.0000 (multiplicity 2)
O1 0.0105 0.3519 0.6319 (multiplicity 12)

Entry 3:
SrHf2MoO8: simulated powder diffractogram (Cu Ka), based on a DFT-relaxed cell (PBE+U, Alexandria).
Intensities are scaled so that the largest is 100.

Peak list (10 most intense, 2θ from 5° to 70°, sorted by position)
(1 1 0), 4.930 Å, I 23
(0 2 0), 3.547 Å, I 61
(2 0 0), 3.429 Å, I 54
(1 1 2), 2.760 Å, I 100
(2 2 0), 2.465 Å, I 28
(1 3 2), 1.856 Å, I 41
(3 1 2), 1.822 Å, I 37
(2 0 4), 1.498 Å, I 10
(3 3 2), 1.474 Å, I 22
(2 2 4), 1.380 Å, I 11

Crystal structure
Lattice parameters (Å, degrees): 6.857 7.093 6.663 90.00 90.00 90.00
Space group Cmmm (No. 65)
Unique sites:
Sr1 0.000 0.000 0.000 (multiplicity 2)
Hf1 0.000 0.500 0.247 (multiplicity 4)
Mo1 0.000 0.000 0.500 (multiplicity 2)
O1 0.000 0.288 0.500 (multiplicity 4)
O2 0.000 0.329 0.000 (multiplicity 4)
O3 0.201 0.000 0.298 (multiplicity 8)

Entry 4:
HfTl2Mo3O12: simulated powder diffractogram (Cu Ka), based on a DFT-relaxed cell (PBE+U, Alexandria).
Intensities are scaled so that the largest is 100.

Peak list (10 most intense, 2θ from 5° to 70°, sorted by position)
(1 1 0), 3.709 Å, I 28
(1 1 3), 3.174 Å, I 100
(0 0 6), 3.070 Å, I 22
(1 1 6), 2.365 Å, I 20
(3 0 3), 2.022 Å, I 27
(2 2 0), 1.855 Å, I 18
(1 1 9), 1.792 Å, I 17
(2 2 6), 1.587 Å, I 18
(3 0 9), 1.480 Å, I 10
(1 4 3), 1.367 Å, I 14

Crystal structure
Lattice parameters (Å, degrees): 7.4185 7.4185 18.4214 90.00 90.00 120.00
Space group R-3m (No. 166, hexagonal axes)
Unique sites:
Hf1 0.0000 0.0000 0.0000 (multiplicity 3)
Tl1 0.0000 0.0000 0.3387 (multiplicity 6)
Mo1 0.0000 0.5000 0.5000 (multiplicity 9)
O1 0.0713 0.5356 0.6006 (multiplicity 18)
O2 0.0911 0.5456 0.8518 (multiplicity 18)

Entry 5:
HfVMo2O6: simulated powder diffractogram (Cu Ka), based on a DFT-relaxed cell (PBE+U, Alexandria).
Intensities are scaled so that the largest is 100.

Peak list (10 most intense, 2θ from 5° to 70°, sorted by position)
(1 0 1), 4.480 Å, I 40
(0 1 2), 3.955 Å, I 42
(1 0 4), 2.882 Å, I 91
(1 1 0), 2.718 Å, I 100
(1 1 3), 2.372 Å, I 22
(0 2 4), 1.977 Å, I 36
(1 1 6), 1.812 Å, I 63
(2 1 4), 1.599 Å, I 34
(3 0 0), 1.569 Å, I 32
(1 0 10), 1.393 Å, I 20

Crystal structure
Lattice parameters (Å, degrees): 5.4360 5.4360 14.5820 90.00 90.00 120.00
Space group R3 (No. 146, hexagonal axes)
Unique sites:
Hf1 0.0000 0.0000 0.0000 (multiplicity 3)
V1 0.0000 0.0000 0.5061 (multiplicity 3)
Mo1 0.0000 0.0000 0.2009 (multiplicity 3)
Mo2 0.0000 0.0000 0.7002 (multiplicity 3)
O1 0.0074 0.7064 0.1007 (multiplicity 9)
O2 0.0123 0.3173 0.6035 (multiplicity 9)